(1)
The following is a computed XRD peak list of YScO4. It was derived from a crystal structure in Alexandria, relaxed with GGA-PBE, using λ = 1.5418 Å (Cu Kα).
Lines closer than 0.1° are merged.

Crystal structure
Unit cell a=3.8272 b=3.8272 c=5.9923 alpha=95.11 beta=95.11 gamma=55.93
Fractional coordinates of all 6 atoms:
Y 0.0000 0.0000 0.0000
Sc 0.3582 0.3582 0.4543
O 0.0362 0.0362 0.3867
O 0.3268 0.3268 0.0968
O 0.5823 0.5823 0.7619
O 0.7753 0.7753 0.6641

Peak list (10 most intense, 5° ≤ 2θ ≤ 70°, by intensity)
d = 2.853 Å, 2θ 31.3, intensity 100; d = 2.981 Å, 2θ 30.0, intensity 35; d = 2.810 Å, 2θ 31.8, intensity 34; d = 1.902 Å, 2θ 47.8, intensity 33; d = 3.363 Å, 2θ 26.5, intensity 31; d = 1.720 Å, 2θ 53.2, intensity 28; d = 3.167 Å, 2θ 28.2, intensity 28; d = 2.121 Å, 2θ 42.6, intensity 25; d = 1.794 Å, 2θ 50.9, intensity 25; d = 5.962 Å, 2θ 14.9, intensity 24

=====

(2)
The following is a computed XRD peak list of ZrSc3O. It was derived from a crystal structure in Alexandria, relaxed with GGA-PBE, using λ = 1.5418 Å (Cu Kα).
Lines closer than 0.1° are merged.

Crystal structure
Unit cell a=6.1058 b=6.1058 c=5.7274 alpha=90.06 beta=90.06 gamma=64.33
Fractional coordinates of all 10 atoms:
Zr 0.0000 0.0000 0.0000
Zr 0.7491 0.7491 0.3036
Sc 0.0012 0.4966 0.8140
Sc 0.2456 0.7523 0.5106
Sc 0.2472 0.2472 0.3491
Sc 0.4929 0.4929 0.9870
Sc 0.4966 0.0012 0.8140
Sc 0.7523 0.2456 0.5106
O 0.1190 0.1190 0.6594
O 0.3790 0.3790 0.6576

Peak list (10 most intense, 5° ≤ 2θ ≤ 70°, by intensity)
d = 2.480 Å, 2θ 36.2, intensity 100; d = 2.505 Å, 2θ 35.8, intensity 61; d = 2.584 Å, 2θ 34.7, intensity 35; d = 1.908 Å, 2θ 47.7, intensity 25; d = 2.827 Å, 2θ 31.7, intensity 24; d = 1.646 Å, 2θ 55.8, intensity 20; d = 3.967 Å, 2θ 22.4, intensity 18; d = 1.471 Å, 2θ 63.2, intensity 17; d = 1.388 Å, 2θ 67.5, intensity 16; d = 1.363 Å, 2θ 68.9, intensity 16

=====

(3)
The following is a computed XRD peak list of Se2O5. It was derived from a crystal structure in Alexandria, relaxed with GGA-PBE, using λ = 1.5418 Å (Cu Kα).
Lines closer than 0.1° are merged.

Crystal structure
Unit cell a=4.9140 b=7.0593 c=13.9899 alpha=90.00 beta=90.65 gamma=90.00
Fractional coordinates of all 28 atoms:
Se 0.0005 0.2298 0.1273
Se 0.0005 0.2702 0.6273
Se 0.9995 0.7298 0.3727
Se 0.9995 0.7702 0.8727
Se 0.1272 0.2290 0.8591
Se 0.1272 0.2710 0.3591
Se 0.8728 0.7290 0.6409
Se 0.8728 0.7710 0.1409
O 0.1982 0.1866 0.0362
O 0.1982 0.3134 0.5362
O 0.1985 0.5843 0.8764
O 0.1985 0.9157 0.3764
O 0.2010 0.7366 0.6391
O 0.2010 0.7634 0.1391
O 0.2188 0.5394 0.3503
O 0.2188 0.9606 0.8503
O 0.2245 0.2348 0.2258
O 0.2245 0.2652 0.7258
O 0.7755 0.7348 0.2742
O 0.7755 0.7652 0.7742
O 0.7812 0.0394 0.1497
O 0.7812 0.4606 0.6497
O 0.7990 0.2366 0.8609
O 0.7990 0.2634 0.3609
O 0.8015 0.0843 0.6236
O 0.8015 0.4157 0.1236
O 0.8018 0.6866 0.4638
O 0.8018 0.8134 0.9638

Peak list (10 most intense, 5° ≤ 2θ ≤ 70°, by intensity)
d = 4.914 Å, 2θ 18.1, intensity 100; d = 3.498 Å, 2θ 25.5, intensity 58; d = 3.530 Å, 2θ 25.2, intensity 55; d = 2.866 Å, 2θ 31.2, intensity 50; d = 4.037 Å, 2θ 22.0, intensity 31; d = 2.834 Å, 2θ 31.6, intensity 27; d = 2.210 Å, 2θ 40.8, intensity 23; d = 2.484 Å, 2θ 36.2, intensity 20; d = 1.654 Å, 2θ 55.6, intensity 13; d = 2.224 Å, 2θ 40.6, intensity 13

=====

(4)
The following is a computed XRD peak list of SeO4. It was derived from a crystal structure in Alexandria, relaxed with GGA-PBE, using λ = 1.5418 Å (Cu Kα).
Lines closer than 0.1° are merged.

Crystal structure
Unit cell a=5.2446 b=7.6408 c=8.6571 alpha=90.00 beta=90.00 gamma=90.00
Fractional coordinates of all 20 atoms:
Se 0.1938 0.0101 0.0604
Se 0.3062 0.9899 0.5604
Se 0.6938 0.4899 0.9396
Se 0.8062 0.5101 0.4396
O 0.0886 0.6155 0.4422
O 0.1085 0.9307 0.4107
O 0.1126 0.8002 0.0477
O 0.1224 0.9412 0.7141
O 0.3776 0.0588 0.2141
O 0.3874 0.1998 0.5477
O 0.3915 0.0693 0.9107
O 0.4114 0.3845 0.9422
O 0.5886 0.8845 0.5578
O 0.6085 0.5693 0.5893
O 0.6126 0.6998 0.9523
O 0.6224 0.5588 0.2859
O 0.8776 0.4412 0.7859
O 0.8874 0.3002 0.4523
O 0.8915 0.4307 0.0893
O 0.9114 0.1155 0.0578

Peak list (10 most intense, 5° ≤ 2θ ≤ 70°, by intensity)
d = 4.325 Å, 2θ 20.5, intensity 100; d = 3.820 Å, 2θ 23.3, intensity 26; d = 3.766 Å, 2θ 23.6, intensity 21; d = 3.059 Å, 2θ 29.2, intensity 15; d = 2.513 Å, 2θ 35.7, intensity 10; d = 2.528 Å, 2θ 35.5, intensity 10; d = 3.338 Å, 2θ 26.7, intensity 10; d = 3.868 Å, 2θ 23.0, intensity 9; d = 2.291 Å, 2θ 39.3, intensity 9; d = 1.881 Å, 2θ 48.4, intensity 7

=====

(5)
The following is a computed XRD peak list of SeO2. It was derived from a crystal structure in Alexandria, relaxed with GGA-PBE, using λ = 1.5418 Å (Cu Kα).
Lines closer than 0.1° are merged.

Crystal structure
Unit cell a=5.2230 b=4.5774 c=16.7616 alpha=90.00 beta=90.00 gamma=90.00
Fractional coordinates of all 24 atoms:
Se 0.0000 0.0532 0.0000
Se 0.0000 0.4101 0.7473
Se 0.0000 0.5899 0.2473
Se 0.0000 0.9468 0.5000
Se 0.5000 0.2256 0.1815
Se 0.5000 0.4127 0.9330
Se 0.5000 0.5873 0.4330
Se 0.5000 0.7744 0.6815
O 0.0000 0.0537 0.7354
O 0.0000 0.3039 0.4908
O 0.0000 0.6961 0.9908
O 0.0000 0.9463 0.2354
O 0.2493 0.1327 0.9252
O 0.2493 0.8673 0.4252
O 0.2507 0.4931 0.6735
O 0.2507 0.5069 0.1735
O 0.5000 0.1205 0.0874
O 0.5000 0.4875 0.3387
O 0.5000 0.5125 0.8387
O 0.5000 0.8795 0.5874
O 0.7493 0.4931 0.6735
O 0.7493 0.5069 0.1735
O 0.7507 0.1327 0.9252
O 0.7507 0.8673 0.4252

Peak list (10 most intense, 5° ≤ 2θ ≤ 70°, by intensity)
d = 3.268 Å, 2θ 27.3, intensity 100; d = 3.184 Å, 2θ 28.0, intensity 90; d = 4.190 Å, 2θ 21.2, intensity 85; d = 3.372 Å, 2θ 26.4, intensity 55; d = 2.611 Å, 2θ 34.3, intensity 40; d = 1.945 Å, 2θ 46.7, intensity 40; d = 4.416 Å, 2θ 20.1, intensity 39; d = 4.017 Å, 2θ 22.1, intensity 37; d = 2.931 Å, 2θ 30.5, intensity 35; d = 1.963 Å, 2θ 46.2, intensity 25

=====

(6)
The following is a computed XRD peak list of Sm3Se3O2. It was derived from a crystal structure in Alexandria, relaxed with GGA-PBE, using λ = 1.5418 Å (Cu Kα).
Lines closer than 0.1° are merged.

Crystal structure
Unit cell a=6.8237 b=6.8237 c=13.3754 alpha=90.00 beta=90.00 gamma=146.30
Fractional coordinates of all 16 atoms:
Sm 0.1447 0.8553 0.5416
Sm 0.1447 0.8553 0.9584
Sm 0.1926 0.8074 0.2500
Sm 0.8074 0.1926 0.7500
Sm 0.8553 0.1447 0.0416
Sm 0.8553 0.1447 0.4584
Se 0.1541 0.8459 0.7500
Se 0.4590 0.5410 0.6142
Se 0.4590 0.5410 0.8858
Se 0.5410 0.4590 0.1142
Se 0.5410 0.4590 0.3858
Se 0.8459 0.1541 0.2500
O 0.2637 0.7363 0.0804
O 0.2637 0.7363 0.4196
O 0.7363 0.2637 0.5804
O 0.7363 0.2637 0.9196

Peak list (10 most intense, 5° ≤ 2θ ≤ 70°, by intensity)
d = 2.928 Å, 2θ 30.5, intensity 100; d = 2.506 Å, 2θ 35.8, intensity 40; d = 2.886 Å, 2θ 31.0, intensity 30; d = 1.978 Å, 2θ 45.9, intensity 28; d = 2.976 Å, 2θ 30.0, intensity 25; d = 2.860 Å, 2θ 31.3, intensity 22; d = 2.634 Å, 2θ 34.0, intensity 21; d = 1.690 Å, 2θ 54.3, intensity 20; d = 2.475 Å, 2θ 36.3, intensity 14; d = 2.203 Å, 2θ 41.0, intensity 14

=====

(7)
The following is a computed XRD peak list of SmSeO. It was derived from a crystal structure in Alexandria, relaxed with GGA-PBE, using λ = 1.5418 Å (Cu Kα).
Lines closer than 0.1° are merged.

Crystal structure
Unit cell a=9.8088 b=9.8088 c=9.8088 alpha=22.76 beta=22.76 gamma=22.76
Fractional coordinates of all 6 atoms:
Sm 0.1141 0.1141 0.1141
Sm 0.8859 0.8859 0.8859
Se 0.3718 0.3718 0.3718
Se 0.6282 0.6282 0.6282
O 0.1979 0.1979 0.1979
O 0.8021 0.8021 0.8021

Peak list (10 most intense, 5° ≤ 2θ ≤ 70°, by intensity)
d = 3.036 Å, 2θ 29.4, intensity 100; d = 2.447 Å, 2θ 36.7, intensity 42; d = 1.935 Å, 2θ 47.0, intensity 34; d = 1.503 Å, 2θ 61.7, intensity 18; d = 1.632 Å, 2θ 56.4, intensity 16; d = 9.551 Å, 2θ 9.3, intensity 13; d = 2.388 Å, 2θ 37.7, intensity 13; d = 3.329 Å, 2θ 26.8, intensity 10; d = 1.518 Å, 2θ 61.0, intensity 10; d = 3.184 Å, 2θ 28.0, intensity 9

=====

(8)
The following is a computed XRD peak list of SmSe2O5. It was derived from a crystal structure in Alexandria, relaxed with GGA-PBE, using λ = 1.5418 Å (Cu Kα).
Lines closer than 0.1° are merged.

Crystal structure
Unit cell a=7.2435 b=10.9620 c=7.1621 alpha=90.00 beta=90.00 gamma=90.00
Fractional coordinates of all 32 atoms:
Sm 0.0000 0.0668 0.2500
Sm 0.0000 0.9332 0.7500
Sm 0.5000 0.4332 0.7500
Sm 0.5000 0.5668 0.2500
Se 0.1188 0.3600 0.0304
Se 0.1188 0.6400 0.5304
Se 0.3812 0.1400 0.5304
Se 0.3812 0.8600 0.0304
Se 0.6188 0.1400 0.9696
Se 0.6188 0.8600 0.4696
Se 0.8812 0.3600 0.4696
Se 0.8812 0.6400 0.9696
O 0.0000 0.4290 0.2500
O 0.0000 0.5710 0.7500
O 0.1644 0.0641 0.5367
O 0.1644 0.9359 0.0367
O 0.1750 0.2228 0.1317
O 0.1750 0.7772 0.6317
O 0.3250 0.2772 0.6317
O 0.3250 0.7228 0.1317
O 0.3356 0.4359 0.0367
O 0.3356 0.5641 0.5367
O 0.5000 0.0710 0.7500
O 0.5000 0.9290 0.2500
O 0.6644 0.4359 0.4633
O 0.6644 0.5641 0.9633
O 0.6750 0.2772 0.8683
O 0.6750 0.7228 0.3683
O 0.8250 0.2228 0.3683
O 0.8250 0.7772 0.8683
O 0.8356 0.0641 0.9633
O 0.8356 0.9359 0.4633

Peak list (10 most intense, 5° ≤ 2θ ≤ 70°, by intensity)
d = 3.081 Å, 2θ 29.0, intensity 100; d = 4.619 Å, 2θ 19.2, intensity 83; d = 3.731 Å, 2θ 23.9, intensity 76; d = 2.969 Å, 2θ 30.1, intensity 71; d = 3.100 Å, 2θ 28.8, intensity 54; d = 3.262 Å, 2θ 27.3, intensity 39; d = 6.043 Å, 2θ 14.7, intensity 34; d = 2.546 Å, 2θ 35.2, intensity 27; d = 1.939 Å, 2θ 46.8, intensity 26; d = 1.616 Å, 2θ 57.0, intensity 26

=====

(9)
The following is a computed XRD peak list of SmSeO4. It was derived from a crystal structure in Alexandria, relaxed with GGA-PBE, using λ = 1.5418 Å (Cu Kα).
Lines closer than 0.1° are merged.

Crystal structure
Unit cell a=5.9853 b=5.9853 c=6.6758 alpha=114.86 beta=114.86 gamma=76.37
Fractional coordinates of all 12 atoms:
Sm 0.0000 0.0000 0.0000
Sm 0.5053 0.5053 0.7150
Se 0.4816 0.4816 0.1963
Se 0.9534 0.9534 0.4747
O 0.1181 0.1181 0.4303
O 0.1766 0.8285 0.6815
O 0.3089 0.6526 0.0315
O 0.3178 0.3178 0.2321
O 0.6433 0.6433 0.4759
O 0.6526 0.3089 0.0315
O 0.7631 0.7631 0.9643
O 0.8285 0.1766 0.6815

Peak list (10 most intense, 5° ≤ 2θ ≤ 70°, by intensity)
d = 3.975 Å, 2θ 22.4, intensity 100; d = 3.700 Å, 2θ 24.1, intensity 86; d = 2.987 Å, 2θ 29.9, intensity 74; d = 2.708 Å, 2θ 33.1, intensity 44; d = 2.642 Å, 2θ 33.9, intensity 42; d = 2.195 Å, 2θ 41.1, intensity 32; d = 1.968 Å, 2θ 46.1, intensity 30; d = 1.859 Å, 2θ 49.0, intensity 20; d = 1.682 Å, 2θ 54.6, intensity 19; d = 1.495 Å, 2θ 62.1, intensity 16